Record 1
Fe3O4F2: computed powder XRD pattern (Cu Kα (λ = 1.5418 Å)), based on DFT lattice parameters and positions (PBE+U).
Lines closer than 0.1° are merged.

Structure:
```
Fe3O4F2
1.0
4.680 0.000 0.000
0.000 4.680 0.000
0.000 0.000 9.132
Fe O F
6 8 4
Cartesian
0.000 0.000 0.000 Fe
0.000 0.000 2.913 Fe
0.000 0.000 6.219 Fe
2.340 2.340 1.653 Fe
2.340 2.340 4.566 Fe
2.340 2.340 7.479 Fe
0.907 0.907 1.426 O
0.907 0.907 7.707 O
1.433 3.247 3.141 O
1.433 3.247 5.992 O
3.247 1.433 3.141 O
3.247 1.433 5.992 O
3.773 3.773 1.426 O
3.773 3.773 7.707 O
0.883 0.883 4.566 F
1.457 3.222 0.000 F
3.222 1.457 0.000 F
3.797 3.797 4.566 F
```

Main lines, sorted by position (2θ = 10–90°):
- 26.9°, I = 100
- 35.2°, I = 49
- 38.5°, I = 10
- 40.3°, I = 14
- 53.1°, I = 58
- 55.5°, I = 17
- 60.9°, I = 7
- 62.8°, I = 9
- 67.5°, I = 21
- 67.8°, I = 10

***

Record 2
FeOF: computed powder XRD pattern (Cu Kα (λ = 1.5418 Å)), based on DFT lattice parameters and positions (PBE+U).
Lines closer than 0.1° are merged.

Structure:
```
FeOF
1.0
4.765 0.000 0.000
0.000 3.068 0.000
-0.140 0.000 14.175
Fe O F
6 6 6
Cartesian
0.000 0.000 0.000 Fe
4.723 0.000 4.114 Fe
0.165 0.000 9.154 Fe
2.253 1.534 6.840 Fe
2.235 1.534 11.493 Fe
2.354 1.534 2.060 Fe
0.936 1.534 0.601 O
0.862 1.534 10.073 O
1.393 0.000 7.635 O
1.452 0.000 2.966 O
3.255 0.000 1.141 O
3.761 1.534 3.551 O
0.904 1.534 5.389 F
1.296 0.000 12.465 F
3.230 0.000 5.970 F
3.264 0.000 10.527 F
3.743 1.534 8.209 F
3.703 1.534 12.874 F
```

Main lines, sorted by position (2θ = 10–90°):
- 26.4°, I = 95
- 26.7°, I = 90
- 34.8°, I = 100
- 39.7°, I = 19
- 52.2°, I = 29
- 52.4°, I = 25
- 52.5°, I = 27
- 52.7°, I = 24
- 60.3°, I = 19
- 66.3°, I = 20

***

Record 3
HoMgCo2O6: computed powder XRD pattern (Cu Kα (λ = 1.5418 Å)), based on DFT lattice parameters and positions (PBE+U).
Lines closer than 0.1° are merged.

Structure:
```
HoMgCo2O6
1.0
5.137 0.000 0.000
0.000 5.551 0.000
-4.920 0.000 7.410
Ho Mg Co O
2 2 4 12
Cartesian
0.000 0.927 0.000 Ho
-2.460 4.624 3.705 Ho
0.351 1.795 3.756 Mg
2.811 3.756 0.051 Mg
-2.298 1.455 5.567 Co
0.162 4.097 1.862 Co
2.712 1.441 1.881 Co
0.252 4.110 5.586 Co
-0.927 2.419 1.403 O
-3.387 3.132 5.108 O
-1.652 1.222 3.841 O
0.808 4.330 0.136 O
-2.808 1.658 7.337 O
-0.348 3.894 3.632 O
1.200 0.434 2.343 O
-1.260 5.117 6.048 O
-0.740 2.460 6.042 O
1.720 3.091 2.337 O
1.239 0.401 5.150 O
3.699 5.150 1.445 O
```

Main lines, sorted by position (2θ = 10–90°):
- 20.0°, I = 69
- 20.8°, I = 43
- 21.3°, I = 42
- 32.3°, I = 34
- 33.5°, I = 100
- 34.3°, I = 87
- 35.0°, I = 42
- 48.3°, I = 31
- 49.2°, I = 31
- 62.7°, I = 36

***

Record 4
MgCo5P8O28: computed powder XRD pattern (Cu Kα (λ = 1.5418 Å)), based on DFT lattice parameters and positions (PBE+U).
Lines closer than 0.1° are merged.

Structure:
```
MgCo5P8O28
1.0
7.502 0.000 0.000
0.577 7.883 0.000
3.113 0.323 9.740
Mg Co P O
1 5 8 28
Cartesian
0.000 0.000 0.000 Mg
1.909 5.339 4.566 Co
4.381 7.357 3.963 Co
6.301 1.528 3.434 Co
8.135 1.435 7.752 Co
7.658 5.102 0.042 Co
0.803 2.192 1.190 P
1.968 2.231 3.863 P
3.587 6.965 7.023 P
2.932 5.954 1.476 P
5.442 0.716 6.420 P
5.362 7.688 0.932 P
6.315 4.595 4.236 P
7.527 4.554 6.954 P
3.461 5.727 7.875 O
2.484 3.593 4.394 O
1.617 6.314 0.734 O
3.187 6.730 5.544 O
1.987 2.333 2.264 O
4.422 1.820 9.693 O
2.799 6.455 2.993 O
2.996 1.173 4.222 O
5.148 7.335 6.980 O
4.852 2.028 6.742 O
3.435 4.574 1.383 O
3.925 7.060 0.788 O
5.258 5.673 4.029 O
6.880 5.134 8.154 O
5.532 0.386 4.871 O
4.875 0.279 2.419 O
6.416 4.254 5.789 O
5.782 3.285 3.579 O
6.834 0.378 7.032 O
8.022 1.307 9.707 O
8.230 3.188 7.264 O
6.466 6.670 0.601 O
7.676 5.060 3.695 O
8.566 5.463 6.257 O
8.060 1.864 4.343 O
7.286 1.157 1.817 O
7.602 3.516 1.031 O
9.835 0.305 7.729 O
```

Main lines, sorted by position (2θ = 10–90°):
- 11.2°, I = 53
- 17.3°, I = 92
- 17.5°, I = 44
- 17.9°, I = 77
- 21.1°, I = 46
- 25.0°, I = 37
- 26.5°, I = 96
- 27.5°, I = 100
- 27.7°, I = 59
- 33.9°, I = 39

***

Record 5
Pr2NiPtO6: computed powder XRD pattern (Cu Kα (λ = 1.5418 Å)), based on DFT lattice parameters and positions (PBE+U).
Lines closer than 0.1° are merged.

Structure:
```
Pr2NiPtO6
1.0
5.516 0.000 0.000
0.000 5.805 0.000
-5.507 0.000 7.887
Pr Ni Pt O
4 2 2 12
Cartesian
-0.096 0.376 1.967 Pr
-2.849 2.526 5.911 Pr
2.858 3.279 1.977 Pr
0.104 5.429 5.920 Pr
-2.754 0.000 3.944 Ni
0.000 2.903 0.000 Ni
2.758 0.000 0.000 Pt
0.004 2.903 3.944 Pt
-4.409 1.157 7.490 O
-1.655 1.745 3.546 O
-3.820 4.091 7.476 O
-1.067 4.616 3.532 O
-2.204 0.177 5.921 O
0.549 2.726 1.978 O
-0.541 3.079 5.910 O
2.213 5.628 1.966 O
1.075 1.189 4.355 O
3.829 1.714 0.412 O
1.664 4.060 4.341 O
4.417 4.648 0.398 O
```

Main lines, sorted by position (2θ = 10–90°):
- 19.0°, I = 12
- 19.6°, I = 12
- 30.8°, I = 21
- 31.9°, I = 100
- 32.5°, I = 25
- 45.4°, I = 20
- 46.0°, I = 13
- 57.5°, I = 22
- 57.6°, I = 11
- 66.6°, I = 11

***

Record 6
VPO7: computed powder XRD pattern (Cu Kα (λ = 1.5418 Å)), based on DFT lattice parameters and positions (PBE+U).
Lines closer than 0.1° are merged.

Structure:
```
VPO7
1.0
8.487 0.000 0.000
0.000 6.835 0.000
-1.259 0.000 10.626
V P O
4 4 28
Cartesian
0.158 0.805 2.446 V
-0.472 2.612 7.759 V
7.700 4.223 2.867 V
7.071 6.029 8.180 V
0.241 4.397 10.434 P
0.870 5.855 5.121 P
6.358 0.979 5.505 P
6.988 2.438 0.192 P
-0.715 0.896 8.249 O
-0.085 2.522 2.936 O
0.442 4.586 4.434 O
-0.187 5.666 9.747 O
0.690 0.323 4.364 O
0.061 3.094 9.676 O
1.580 0.771 1.707 O
0.951 2.646 7.020 O
1.951 4.395 1.204 O
1.322 5.857 6.517 O
2.826 4.579 9.622 O
3.455 5.673 4.309 O
3.154 4.322 8.463 O
3.783 5.930 3.150 O
3.445 0.904 7.476 O
4.074 2.513 2.163 O
3.773 1.162 6.317 O
4.402 2.255 1.004 O
5.907 0.977 4.108 O
5.277 2.440 9.421 O
6.277 4.189 3.606 O
5.648 6.063 8.919 O
7.167 3.740 0.949 O
6.538 6.511 6.262 O
7.415 1.168 0.879 O
6.786 2.249 6.192 O
7.314 4.313 7.690 O
7.943 5.939 2.377 O
```

Main lines, sorted by position (2θ = 10–90°):
- 10.5°, I = 100
- 15.4°, I = 16
- 16.7°, I = 12
- 21.1°, I = 14
- 22.8°, I = 9
- 24.6°, I = 12
- 25.4°, I = 25
- 28.6°, I = 26
- 29.8°, I = 31
- 34.3°, I = 13

***

Record 7
LiVSiO4: computed powder XRD pattern (Cu Kα (λ = 1.5418 Å)), based on DFT lattice parameters and positions (PBE+U).
Lines closer than 0.1° are merged.

Structure:
```
LiVSiO4
1.0
2.755 -4.141 0.000
2.755 4.141 0.000
0.000 0.000 6.242
Li V Si O
2 2 2 8
Cartesian
2.755 2.726 4.681 Li
2.755 -2.726 1.560 Li
2.755 0.000 0.000 V
2.755 0.000 3.121 V
2.755 2.886 1.560 Si
2.755 -2.886 4.681 Si
1.324 0.225 4.681 O
2.755 1.962 0.222 O
2.755 1.962 2.899 O
1.324 -0.225 1.560 O
4.185 0.225 4.681 O
2.755 -1.962 3.343 O
2.755 -1.962 6.020 O
4.185 -0.225 1.560 O
```

Main lines, sorted by position (2θ = 10–90°):
- 19.4°, I = 43
- 21.5°, I = 22
- 24.1°, I = 38
- 25.8°, I = 24
- 32.5°, I = 40
- 34.8°, I = 100
- 36.4°, I = 43
- 43.8°, I = 26
- 49.3°, I = 26
- 63.6°, I = 42

***

Record 8
Sr4MgMn2Cu2S2O6: computed powder XRD pattern (Cu Kα (λ = 1.5418 Å)), based on DFT lattice parameters and positions (PBE+U).
Lines closer than 0.1° are merged.

Structure:
```
Sr4MgMn2Cu2S2O6
1.0
4.078 0.000 0.000
0.000 4.078 0.000
0.000 0.000 16.114
Sr Mg Mn Cu S O
4 1 2 2 2 6
Cartesian
0.000 2.039 2.023 Sr
0.000 2.039 5.268 Sr
2.039 0.000 10.846 Sr
2.039 0.000 14.091 Sr
0.000 0.000 0.000 Mg
0.000 2.039 12.769 Mn
2.039 0.000 3.345 Mn
0.000 0.000 8.057 Cu
2.039 2.039 8.057 Cu
0.000 2.039 9.408 S
2.039 0.000 6.707 S
0.000 0.000 3.431 O
0.000 0.000 12.683 O
0.000 2.039 15.332 O
2.039 0.000 0.782 O
2.039 2.039 3.671 O
2.039 2.039 12.443 O
```

Main lines, sorted by position (2θ = 10–90°):
- 22.5°, I = 33
- 31.0°, I = 50
- 31.2°, I = 73
- 33.0°, I = 44
- 35.5°, I = 77
- 38.4°, I = 87
- 40.2°, I = 58
- 44.4°, I = 100
- 58.1°, I = 34
- 61.5°, I = 31